# Y2Mn17C3
Theoretical powder diffractogram, Cu Kα X-rays. Input: a cell relaxed with PBE.

The 6 most intense peaks (2θ from 10° to 80°), most intense first:
42.57 deg, I 100
42.18 deg, I 85
47.80 deg, I 45
43.70 deg, I 40
37.76 deg, I 36
36.32 deg, I 33

Structural model:
```
Y2Mn17C3
1.0
4.285 2.474 4.143
-4.285 2.474 4.143
0.000 -4.948 4.143
Y Mn C
2 17 3
Cartesian
0.000 0.000 1.860
0.000 0.000 10.568
-2.142 -1.237 4.143
0.000 -2.355 3.971
-2.040 1.178 3.971
-1.199 -2.076 6.214
-2.398 0.000 6.214
-2.040 -1.178 8.457
0.000 0.000 5.034
-2.142 1.237 8.285
1.199 -2.076 6.214
0.000 2.474 4.143
-1.199 2.076 6.214
0.000 0.000 7.394
2.040 1.178 3.971
2.398 0.000 6.214
1.199 2.076 6.214
2.040 -1.178 8.457
0.000 2.355 8.457
-4.285 0.000 6.214
-2.142 1.237 2.071
2.142 1.237 2.071
```

=====

# NaSn2As
Theoretical powder diffractogram, Cu Kα X-rays. Input: a cell relaxed with PBE.

The 6 most intense peaks (2θ from 10° to 80°), most intense first:
32.02 deg, I 100
30.45 deg, I 84
44.77 deg, I 62
17.57 deg, I 32
21.41 deg, I 31
41.72 deg, I 29

Structural model:
```
NaSn2As
1.0
-4.151 4.151 3.179
4.151 -4.151 3.179
4.151 4.151 -3.179
Na Sn As
2 4 2
Cartesian
0.000 0.000 0.000
0.000 4.151 1.589
2.076 2.432 -0.795
5.871 2.076 0.795
2.076 1.720 2.384
-1.720 2.076 3.973
4.151 0.000 1.589
0.000 0.000 3.179
```

=====

# ErUAs2Rh5
Theoretical powder diffractogram, Cu Kα X-rays. Input: a cell relaxed with PBE.

The 6 most intense peaks (2θ from 10° to 80°), most intense first:
45.26 deg, I 100
35.81 deg, I 76
46.10 deg, I 75
32.54 deg, I 55
39.97 deg, I 47
22.58 deg, I 45

Structural model:
```
ErUAs2Rh5
1.0
3.938 0.000 0.000
0.000 3.938 0.000
0.000 0.000 11.541
Er U As Rh
1 1 2 5
Cartesian
0.000 0.000 0.000
1.969 1.969 5.771
1.969 1.969 2.373
1.969 1.969 9.168
0.000 1.969 3.949
0.000 1.969 7.592
1.969 0.000 3.949
1.969 0.000 7.592
1.969 1.969 0.000
```

=====

# SrCd2ReN4
Theoretical powder diffractogram, Cu Kα X-rays. Input: a cell relaxed with PBE.

The 6 most intense peaks (2θ from 10° to 80°), most intense first:
31.51 deg, I 100
30.13 deg, I 43
32.52 deg, I 41
27.59 deg, I 29
54.39 deg, I 26
59.66 deg, I 23

Structural model:
```
SrCd2ReN4
1.0
7.572 0.000 0.000
0.000 6.217 0.000
0.000 0.000 5.932
Sr Cd Re N
2 4 2 8
Cartesian
0.000 0.991 0.000
3.786 5.226 2.966
1.877 2.068 3.013
1.909 4.149 0.047
5.663 4.149 0.047
5.695 2.068 3.013
0.000 5.087 3.028
3.786 1.130 0.063
0.000 0.687 2.598
0.000 4.906 4.869
1.516 4.267 2.342
2.270 1.950 5.308
3.786 1.312 1.904
3.786 5.530 5.564
5.302 1.950 5.308
6.056 4.267 2.342
```